[1]
Calculated X-ray powder pattern
Compound: Ti3As
Radiation: Cu Kα (weighted mean of Kα1 and Kα2)
Structure: a crystal structure in Alexandria, relaxed with PBE
Intensities are scaled so that the largest is 100.

Structure:
Cell lengths 10.163, 10.163, 5.110 Å; angles 90.00, 90.00, 90.00 degrees
Fractional coordinates of all 32 atoms:
Ti1 0.035 0.933 0.245
Ti2 0.067 0.535 0.745
Ti3 0.107 0.277 0.037
Ti4 0.146 0.832 0.713
Ti5 0.168 0.646 0.213
Ti6 0.223 0.107 0.463
Ti7 0.277 0.393 0.463
Ti8 0.332 0.854 0.213
Ti9 0.354 0.668 0.713
Ti10 0.393 0.223 0.037
Ti11 0.433 0.965 0.745
Ti12 0.465 0.567 0.245
Ti13 0.535 0.433 0.755
Ti14 0.567 0.035 0.255
Ti15 0.607 0.777 0.963
Ti16 0.646 0.332 0.287
Ti17 0.668 0.146 0.787
Ti18 0.723 0.607 0.537
Ti19 0.777 0.893 0.537
Ti20 0.832 0.354 0.787
Ti21 0.854 0.168 0.287
Ti22 0.893 0.723 0.963
Ti23 0.933 0.465 0.255
Ti24 0.965 0.067 0.755
As1 0.044 0.291 0.539
As2 0.209 0.044 0.961
As3 0.291 0.456 0.961
As4 0.456 0.209 0.539
As5 0.544 0.791 0.461
As6 0.709 0.544 0.039
As7 0.791 0.956 0.039
As8 0.956 0.709 0.461

Peak list (6 most intense, 5° ≤ 2θ ≤ 70°, in order of rising 2θ)
| 2θ/deg | Rel. int. |
| --- | --- |
| 24.73 | 82.7 |
| 36.40 | 82.9 |
| 37.35 | 83.0 |
| 39.65 | 89.3 |
| 40.64 | 100.0 |
| 43.46 | 77.5 |

[2]
Calculated X-ray powder pattern
Compound: ZnBPd5
Radiation: Cu Kα (weighted mean of Kα1 and Kα2)
Structure: a crystal structure in Alexandria, relaxed with PBE
Intensities are scaled so that the largest is 100.

Structure:
Cell lengths 6.708, 6.708, 6.708 Å; angles 117.59, 107.89, 103.28 degrees
Fractional coordinates of all 14 atoms:
Zn1 0.353 0.103 0.250
Zn2 0.647 0.897 0.750
B1 0.000 0.500 0.500
B2 0.500 0.500 0.000
Pd1 0.000 0.206 0.206
Pd2 0.000 0.794 0.794
Pd3 0.154 0.735 0.420
Pd4 0.185 0.265 0.920
Pd5 0.338 0.588 0.750
Pd6 0.500 0.206 0.706
Pd7 0.500 0.794 0.294
Pd8 0.662 0.412 0.250
Pd9 0.815 0.735 0.080
Pd10 0.846 0.265 0.580

Peak list (6 most intense, 5° ≤ 2θ ≤ 70°, in order of rising 2θ)
| 2θ/deg | Rel. int. |
| --- | --- |
| 33.59 | 68.5 |
| 34.25 | 48.0 |
| 35.78 | 55.9 |
| 40.82 | 100.0 |
| 43.27 | 49.6 |
| 44.53 | 59.9 |

[3]
Calculated X-ray powder pattern
Compound: Ga2SiAgS6
Radiation: Cu Kα (weighted mean of Kα1 and Kα2)
Structure: a crystal structure in Alexandria, relaxed with PBE
Intensities are scaled so that the largest is 100.

Structure:
Cell lengths 9.542, 9.542, 6.359 Å; angles 106.29, 106.29, 86.99 degrees
Fractional coordinates of all 20 atoms:
Ga1 0.019 0.843 0.992
Ga2 0.157 0.981 0.508
Ga3 0.843 0.019 0.492
Ga4 0.981 0.157 0.008
Si1 0.311 0.689 0.750
Si2 0.689 0.311 0.250
Ag1 0.435 0.565 0.250
Ag2 0.565 0.435 0.750
S1 0.043 0.186 0.689
S2 0.108 0.641 0.804
S3 0.186 0.043 0.189
S4 0.304 0.493 0.479
S5 0.359 0.892 0.696
S6 0.493 0.304 0.979
S7 0.507 0.696 0.021
S8 0.641 0.108 0.304
S9 0.696 0.507 0.521
S10 0.814 0.957 0.811
S11 0.892 0.359 0.196
S12 0.957 0.814 0.311

Peak list (6 most intense, 5° ≤ 2θ ≤ 70°, in order of rising 2θ)
| 2θ/deg | Rel. int. |
| --- | --- |
| 13.48 | 21.7 |
| 13.87 | 100.0 |
| 24.71 | 28.3 |
| 27.87 | 47.8 |
| 30.36 | 22.5 |
| 41.25 | 17.8 |

[4]
Calculated X-ray powder pattern
Compound: Cr4SnTe8
Radiation: Cu Kα (weighted mean of Kα1 and Kα2)
Structure: a crystal structure in Alexandria, relaxed with PBE
Intensities are scaled so that the largest is 100.

Structure:
Cell lengths 8.765, 8.765, 8.765 Å; angles 52.29, 52.29, 52.29 degrees
Fractional coordinates of all 13 atoms:
Cr1 0.000 0.000 0.000
Cr2 0.000 0.500 0.500
Cr3 0.500 0.000 0.500
Cr4 0.500 0.500 0.000
Sn1 0.500 0.500 0.500
Te1 0.237 0.237 0.734
Te2 0.237 0.734 0.237
Te3 0.263 0.263 0.263
Te4 0.266 0.763 0.763
Te5 0.734 0.237 0.237
Te6 0.737 0.737 0.737
Te7 0.763 0.266 0.763
Te8 0.763 0.763 0.266

Peak list (6 most intense, 5° ≤ 2θ ≤ 70°, in order of rising 2θ)
| 2θ/deg | Rel. int. |
| --- | --- |
| 11.73 | 27.1 |
| 27.81 | 33.4 |
| 31.06 | 100.0 |
| 41.81 | 32.7 |
| 47.06 | 33.9 |
| 57.46 | 16.8 |

[5]
Calculated X-ray powder pattern
Compound: Y2Te4Pb
Radiation: Cu Kα (weighted mean of Kα1 and Kα2)
Structure: a crystal structure in Alexandria, relaxed with PBE
Intensities are scaled so that the largest is 100.

Structure:
Cell lengths 16.886, 4.429, 7.660 Å; angles 90.00, 115.12, 90.00 degrees
Fractional coordinates of all 14 atoms:
Y1 0.240 0.000 0.224
Y2 0.260 0.500 0.776
Y3 0.740 0.500 0.224
Y4 0.760 0.000 0.776
Te1 0.128 0.500 0.961
Te2 0.142 0.000 0.487
Te3 0.358 0.500 0.513
Te4 0.372 0.000 0.039
Te5 0.628 0.000 0.961
Te6 0.642 0.500 0.487
Te7 0.858 0.000 0.513
Te8 0.872 0.500 0.039
Pb1 0.000 0.500 0.500
Pb2 0.500 0.000 0.500

Peak list (6 most intense, 5° ≤ 2θ ≤ 70°, in order of rising 2θ)
| 2θ/deg | Rel. int. |
| --- | --- |
| 25.83 | 38.0 |
| 26.17 | 63.1 |
| 32.82 | 83.9 |
| 33.37 | 43.5 |
| 33.66 | 36.9 |
| 40.79 | 100.0 |

[6]
Calculated X-ray powder pattern
Compound: NaAc4
Radiation: Cu Kα (weighted mean of Kα1 and Kα2)
Structure: a crystal structure in Alexandria, relaxed with PBE
Intensities are scaled so that the largest is 100.

Structure:
Cell lengths 6.170, 6.170, 6.170 Å; angles 90.00, 90.00, 90.00 degrees
Fractional coordinates of all 5 atoms:
Na1 0.000 0.000 0.000
Ac1 0.000 0.000 0.500
Ac2 0.000 0.500 0.000
Ac3 0.500 0.000 0.000
Ac4 0.500 0.500 0.500

Peak list (6 most intense, 5° ≤ 2θ ≤ 70°, in order of rising 2θ)
| 2θ/deg | Rel. int. |
| --- | --- |
| 25.00 | 100.0 |
| 28.94 | 58.5 |
| 41.39 | 45.5 |
| 48.96 | 50.9 |
| 66.00 | 21.3 |
| 67.95 | 21.6 |

[7]
Calculated X-ray powder pattern
Compound: HoTl2Pb
Radiation: Cu Kα (weighted mean of Kα1 and Kα2)
Structure: a crystal structure in Alexandria, relaxed with PBE
Intensities are scaled so that the largest is 100.

Structure:
Cell lengths 4.661, 4.661, 5.109 Å; angles 90.00, 90.00, 90.00 degrees
Fractional coordinates of all 4 atoms:
Ho1 0.000 0.000 0.000
Tl1 0.000 0.500 0.500
Tl2 0.500 0.000 0.500
Pb1 0.500 0.500 0.000

Peak list (6 most intense, 5° ≤ 2θ ≤ 70°, in order of rising 2θ)
| 2θ/deg | Rel. int. |
| --- | --- |
| 32.33 | 100.0 |
| 35.13 | 20.1 |
| 38.64 | 31.1 |
| 53.20 | 25.1 |
| 61.27 | 16.5 |
| 65.97 | 26.5 |

[8]
Calculated X-ray powder pattern
Compound: TaNi3Pt
Radiation: Cu Kα (weighted mean of Kα1 and Kα2)
Structure: a crystal structure in Alexandria, relaxed with PBE
Intensities are scaled so that the largest is 100.

Structure:
Cell lengths 6.250, 6.250, 5.272 Å; angles 90.00, 90.00, 139.46 degrees
Fractional coordinates of all 10 atoms:
Ta1 0.110 0.890 0.750
Ta2 0.890 0.110 0.250
Ni1 0.314 0.686 0.505
Ni2 0.314 0.686 0.995
Ni3 0.498 0.502 0.750
Ni4 0.502 0.498 0.250
Ni5 0.686 0.314 0.005
Ni6 0.686 0.314 0.495
Pt1 0.123 0.877 0.250
Pt2 0.877 0.123 0.750

Peak list (6 most intense, 5° ≤ 2θ ≤ 70°, in order of rising 2θ)
| 2θ/deg | Rel. int. |
| --- | --- |
| 21.88 | 54.3 |
| 30.49 | 42.8 |
| 40.81 | 61.2 |
| 41.72 | 67.7 |
| 43.90 | 89.8 |
| 46.55 | 100.0 |

[9]
Calculated X-ray powder pattern
Compound: Ac5LaPd4
Radiation: Cu Kα (weighted mean of Kα1 and Kα2)
Structure: a crystal structure in Alexandria, relaxed with PBE
Intensities are scaled so that the largest is 100.

Structure:
Cell lengths 9.787, 9.787, 8.645 Å; angles 104.03, 104.03, 25.96 degrees
Fractional coordinates of all 10 atoms:
Ac1 0.000 0.000 0.000
Ac2 0.333 0.333 0.653
Ac3 0.336 0.336 0.165
Ac4 0.664 0.664 0.835
Ac5 0.667 0.667 0.347
La1 0.000 0.000 0.500
Pd1 0.167 0.167 0.595
Pd2 0.500 0.500 0.250
Pd3 0.500 0.500 0.750
Pd4 0.833 0.833 0.405

Peak list (6 most intense, 5° ≤ 2θ ≤ 70°, in order of rising 2θ)
| 2θ/deg | Rel. int. |
| --- | --- |
| 24.89 | 33.0 |
| 28.98 | 100.0 |
| 41.08 | 39.4 |
| 41.81 | 37.0 |
| 51.06 | 21.0 |
| 68.56 | 16.8 |

[10]
Calculated X-ray powder pattern
Compound: NaDyCdPb
Radiation: Cu Kα (weighted mean of Kα1 and Kα2)
Structure: a crystal structure in Alexandria, relaxed with PBE
Intensities are scaled so that the largest is 100.

Structure:
Cell lengths 4.048, 4.993, 5.276 Å; angles 90.00, 90.00, 90.00 degrees
Fractional coordinates of all 4 atoms:
Na1 0.000 0.000 0.000
Dy1 0.000 0.500 0.500
Cd1 0.500 0.500 0.000
Pb1 0.500 0.000 0.500

Peak list (6 most intense, 5° ≤ 2θ ≤ 70°, in order of rising 2θ)
| 2θ/deg | Rel. int. |
| --- | --- |
| 16.81 | 24.9 |
| 33.17 | 100.0 |
| 33.99 | 23.4 |
| 35.98 | 20.1 |
| 44.81 | 19.8 |
| 60.30 | 17.9 |

[11]
Calculated X-ray powder pattern
Compound: Ba8As5
Radiation: Cu Kα (weighted mean of Kα1 and Kα2)
Structure: a crystal structure in Alexandria, relaxed with PBE
Intensities are scaled so that the largest is 100.

Structure:
Cell lengths 9.157, 9.157, 11.162 Å; angles 124.35, 124.35, 63.66 degrees
Fractional coordinates of all 13 atoms:
Ba1 0.001 0.441 0.665
Ba2 0.003 0.003 0.200
Ba3 0.441 0.001 0.665
Ba4 0.463 0.463 0.160
Ba5 0.537 0.537 0.840
Ba6 0.559 0.999 0.335
Ba7 0.997 0.997 0.800
Ba8 0.999 0.559 0.335
As1 0.000 0.000 0.500
As2 0.260 0.740 0.000
As3 0.286 0.286 0.501
As4 0.714 0.714 0.499
As5 0.740 0.260 0.000

Peak list (6 most intense, 5° ≤ 2θ ≤ 70°, in order of rising 2θ)
| 2θ/deg | Rel. int. |
| --- | --- |
| 11.38 | 52.4 |
| 23.75 | 45.6 |
| 23.95 | 56.7 |
| 24.40 | 100.0 |
| 31.78 | 62.9 |
| 37.28 | 87.0 |